For Li2CePrMo4O16, a crystal structure in Alexandria, relaxed with PBE+U gives the computed XRD peak list in this record (a wavelength of 1.5418 Å).

Main lines, most intense first (2θ = 10–90°):
index, two_theta, intensity
1 1 2, 28.4, 100
2 0 4, 46.5, 31
1 0 1, 18.4, 29
3 1 2, 57.2, 26
0 0 2, 15.3, 18
2 0 0, 33.8, 17
1 1 6, 53.4, 16
2 2 0, 48.6, 14
0 0 4, 30.9, 12
1 3 6, 75.1, 12

a b c (Å): 5.301 5.301 11.573
angles (deg): 90.00 90.00 90.00
Fractional positions:
Li (0.000, 0.500, 0.213)
Li (0.500, 0.000, 0.787)
Ce (0.000, 0.000, 0.000)
Pr (0.500, 0.500, 0.500)
Mo (0.000, 0.000, 0.500)
Mo (0.000, 0.500, 0.753)
Mo (0.500, 0.000, 0.247)
Mo (0.500, 0.500, 0.000)
O (0.155, 0.258, 0.840)
O (0.156, 0.758, 0.417)
O (0.238, 0.648, 0.667)
O (0.242, 0.156, 0.583)
O (0.246, 0.344, 0.081)
O (0.258, 0.845, 0.160)
O (0.344, 0.754, 0.919)
O (0.352, 0.238, 0.333)
O (0.648, 0.762, 0.333)
O (0.656, 0.246, 0.919)
O (0.742, 0.155, 0.160)
O (0.754, 0.656, 0.081)
O (0.758, 0.844, 0.583)
O (0.762, 0.352, 0.667)
O (0.844, 0.242, 0.417)
O (0.845, 0.742, 0.840)